Diffraction record for TmBiO3. The powder diffractogram is computed, not measured: it uses a structure optimized by DFT (GGA-PBE) and Cu Kα.
Intensities are scaled so that the largest is 100.

Structure:
abc: 6.1044 6.1044 6.1044
angles: 58.47 58.47 58.47
Sites, in units of the cell vectors:
Tm  0.0000  0.0000  0.0000
Tm  0.5000  0.5000  0.5000
Bi  0.2869  0.2869  0.2869
Bi  0.7869  0.7869  0.7869
O  0.1385  0.3507  0.6928
O  0.1928  0.8507  0.6385
O  0.3507  0.6928  0.1385
O  0.6385  0.1928  0.8507
O  0.6928  0.1385  0.3507
O  0.8507  0.6385  0.1928

The 8 most intense peaks (10 to 90 degrees two-theta), sorted by position:
20.8°, I = 20
29.3°, I = 90
30.0°, I = 100
42.4°, I = 39
47.2°, I = 32
52.8°, I = 40
53.2°, I = 26
70.3°, I = 15